[1]
Te16Rh15: computed XRD peak list (λ = 1.5418 Å (Cu Kα)), based on a crystal structure in Alexandria, relaxed with GGA-PBE.
Lines closer than 0.1° are merged.

Principal peaks in the range 2θ from 15° to 90°, low angle first:
| d (Å) | I (rel.) |
| --- | --- |
| 3.512 | 9 |
| 2.989 | 100 |
| 2.210 | 94 |
| 2.030 | 46 |
| 2.024 | 23 |
| 1.677 | 12 |
| 1.669 | 17 |
| 1.493 | 18 |
| 1.204 | 12 |
| 1.165 | 14 |

```
Te16Rh15
1.0
9.047 0.000 0.000
0.000 8.097 0.000
-1.897 0.000 8.850
Te Rh
16 15
Direct
0.037 0.000 0.208
0.038 0.500 0.209
0.212 0.252 0.544
0.212 0.748 0.544
0.291 0.247 0.957
0.291 0.753 0.957
0.446 0.500 0.285
0.461 0.000 0.294
0.539 0.000 0.706
0.554 0.500 0.715
0.709 0.247 0.043
0.709 0.753 0.043
0.788 0.252 0.456
0.788 0.748 0.456
0.962 0.500 0.791
0.963 0.000 0.792
0.000 0.239 0.000
0.000 0.500 0.500
0.000 0.761 0.000
0.240 0.000 0.737
0.244 0.245 0.255
0.244 0.755 0.255
0.265 0.500 0.742
0.500 0.000 0.000
0.500 0.265 0.500
0.500 0.500 0.000
0.500 0.735 0.500
0.735 0.500 0.258
0.756 0.245 0.745
0.756 0.755 0.745
0.760 0.000 0.263
```



[2]
Cs2AsHCl6: computed XRD peak list (λ = 1.5418 Å (Cu Kα)), based on a crystal structure in Alexandria, relaxed with GGA-PBE.
Lines closer than 0.1° are merged.

Principal peaks in the range 2θ from 15° to 90°, low angle first:
| d (Å) | I (rel.) |
| --- | --- |
| 3.912 | 73 |
| 3.839 | 73 |
| 3.787 | 37 |
| 3.174 | 100 |
| 3.042 | 78 |
| 2.909 | 65 |
| 2.643 | 52 |
| 2.554 | 50 |
| 1.956 | 38 |
| 1.919 | 39 |

```
Cs2AsHCl6
1.0
5.117 -5.818 0.000
5.117 5.818 0.000
-4.804 0.000 5.285
Cs As H Cl
2 1 1 6
Direct
0.239 0.761 0.000
0.761 0.239 0.000
0.512 0.512 0.509
0.217 0.217 0.723
0.213 0.213 0.517
0.225 0.225 0.972
0.285 0.716 0.501
0.713 0.713 0.466
0.716 0.285 0.501
0.721 0.721 0.948
```



[3]
TiMn2GeAs: computed XRD peak list (λ = 1.5418 Å (Cu Kα)), based on a crystal structure in Alexandria, relaxed with GGA-PBE.
Lines closer than 0.1° are merged.

Principal peaks in the range 2θ from 15° to 90°, low angle first:
| d (Å) | I (rel.) |
| --- | --- |
| 5.254 | 21 |
| 4.572 | 69 |
| 3.233 | 21 |
| 2.753 | 88 |
| 2.627 | 75 |
| 2.286 | 100 |
| 2.278 | 23 |
| 1.724 | 80 |
| 1.616 | 32 |
| 1.377 | 36 |

```
TiMn2GeAs
1.0
4.572 0.000 0.000
0.000 4.572 0.000
0.000 0.000 5.254
Ti Mn Ge As
1 2 1 1
Direct
0.000 0.000 0.000
0.000 0.500 0.500
0.500 0.000 0.500
0.500 0.500 0.000
0.500 0.500 0.500
```



[4]
La2Nd7: computed XRD peak list (λ = 1.5418 Å (Cu Kα)), based on a crystal structure in Alexandria, relaxed with GGA-PBE.
Lines closer than 0.1° are merged.

Principal peaks in the range 2θ from 15° to 90°, low angle first:
| d (Å) | I (rel.) |
| --- | --- |
| 3.021 | 100 |
| 3.006 | 33 |
| 2.613 | 67 |
| 1.851 | 24 |
| 1.844 | 24 |
| 1.577 | 43 |
| 1.572 | 14 |
| 1.511 | 13 |
| 1.201 | 12 |
| 1.170 | 11 |

```
La2Nd7
1.0
6.413 0.000 0.000
-3.207 5.554 0.000
0.000 0.000 9.018
La Nd
2 7
Direct
0.333 0.667 0.000
0.667 0.333 0.000
0.000 0.000 0.000
0.000 0.332 0.665
0.000 0.668 0.335
0.332 0.000 0.665
0.332 0.332 0.335
0.668 0.000 0.335
0.668 0.668 0.665
```